Simulated powder XRD pattern
Compound: HoURu
Radiation: CuKα
Structure: a crystal structure in Alexandria, relaxed with GGA-PBE
Intensities are scaled so that the largest is 100.

```
HoURu
1.0
1.8970 1.0952 11.4038
-1.8970 1.0952 11.4038
0.0000 -2.1904 11.4038
Ho U Ru
2 2 2
Cartesian
0.0000 0.0000 4.1362
0.0000 0.0000 30.0751
0.0000 0.0000 10.5742
0.0000 0.0000 23.6371
0.0000 0.0000 13.7685
0.0000 0.0000 20.4429
```

Largest 10 diffraction maxima, sorted by position, 10° ≤ 2θ ≤ 90°:
2θ 27.6, I = 27
2θ 29.1, I = 78
2θ 30.2, I = 84
2θ 32.8, I = 73
2θ 38.0, I = 87
2θ 39.9, I = 85
2θ 46.3, I = 24
2θ 48.0, I = 100
2θ 51.0, I = 25
2θ 77.2, I = 47